Entry 1:
This entry pairs a crystal structure of AcSm2C2N6 with its computed powder XRD pattern. Radiation: Cu Kα X-rays. Structure: a GGA-PBE-relaxed structure.
Neutral-atom scattering factors, no anomalous dispersion.

Crystal structure
```
data_AcSm2C2N6
_symmetry_space_group_name_H-M 'P -1'
_symmetry_Int_Tables_number 2
_symmetry_space_group_name_Hall '-P 1'
_cell_length_a 4.972
_cell_length_b 5.531
_cell_length_c 6.621
_cell_angle_alpha 112.12
_cell_angle_beta 95.30
_cell_angle_gamma 110.16
loop_
_atom_site_label
_atom_site_fract_x
_atom_site_fract_y
_atom_site_fract_z
_atom_site_occupancy
Ac1 0.000 0.000 0.000 1
Sm1 0.250 0.393 0.648 1
C1 0.289 0.745 0.256 1
N1 0.192 0.955 0.346 1
N2 0.223 0.525 0.325 1
N3 0.439 0.745 0.092 1
```

Largest 10 diffraction maxima, sorted by position, 10° ≤ 2θ ≤ 90°:
| 2θ (°) | I_rel |
| --- | --- |
| 19.67 | 225 |
| 21.01 | 637 |
| 27.73 | 1000 |
| 29.05 | 672 |
| 29.87 | 571 |
| 31.59 | 364 |
| 33.39 | 304 |
| 34.11 | 276 |
| 36.41 | 280 |
| 38.91 | 198 |

Entry 2:
This entry pairs a crystal structure of AcTbC3N6 with its computed powder XRD pattern. Radiation: Cu Kα X-rays. Structure: a GGA-PBE-relaxed structure.
Neutral-atom scattering factors, no anomalous dispersion.

Crystal structure
```
data_AcTbC3N6
_symmetry_space_group_name_H-M 'R 3'
_symmetry_Int_Tables_number 146
_symmetry_space_group_name_Hall 'R 3'
_cell_length_a 6.8289
_cell_length_b 6.8289
_cell_length_c 15.2148
_cell_angle_alpha 90.00
_cell_angle_beta 90.00
_cell_angle_gamma 120.00
loop_
_atom_site_label
_atom_site_fract_x
_atom_site_fract_y
_atom_site_fract_z
_atom_site_occupancy
Ac1 0.0000 0.0000 0.0000 1
Tb1 0.0000 0.0000 0.6407 1
C1 0.0868 0.3679 0.4807 1
N1 0.0042 0.4725 0.2209 1
N2 0.0364 0.2921 0.7405 1
```

Largest 10 diffraction maxima, sorted by position, 10° ≤ 2θ ≤ 90°:
| 2θ (°) | I_rel |
| --- | --- |
| 16.08 | 659 |
| 17.49 | 446 |
| 19.01 | 663 |
| 26.10 | 611 |
| 31.59 | 1000 |
| 33.11 | 249 |
| 42.14 | 211 |
| 44.50 | 328 |
| 46.04 | 192 |
| 49.62 | 249 |